The following is a theoretical powder diffraction line list of BRhPbC. It was derived from a cell relaxed with PBE, using λ = 1.5418 Å (Cu Kα).
Intensities are scaled so that the largest is 100.

The 6 most intense peaks (2θ = 5–70°), by angle:
- 3.646 Å, I = 60
- 3.418 Å, I = 50
- 2.746 Å, I = 97
- 2.664 Å, I = 64
- 2.644 Å, I = 100
- 2.624 Å, I = 54

Structure:
```
data_BRhPbC
_chemical_formula_sum 'B2 Rh2 Pb2 C2'
_cell_length_a 4.1340
_cell_length_b 3.7813
_cell_length_c 7.9926
_cell_angle_alpha 90.00
_cell_angle_beta 91.00
_cell_angle_gamma 90.00
_symmetry_space_group_name_H-M 'P 1 21/m 1'
_symmetry_Int_Tables_number 11
_symmetry_space_group_name_Hall '-P 2yb'
loop_
_atom_site_label
_atom_site_type_symbol
_atom_site_fract_x
_atom_site_fract_y
_atom_site_fract_z
B1 B 0.2253 0.2500 0.3811
Rh1 Rh 0.2473 0.7500 0.5253
Pb1 Pb 0.2274 0.2500 0.8523
C1 C 0.4631 0.2500 0.2424
```

The following is a theoretical powder diffraction line list of Cs3Cd4F12. It was derived from a cell relaxed with PBE, using λ = 1.5418 Å (Cu Kα).
Intensities are scaled so that the largest is 100.

The 6 most intense peaks (2θ = 5–70°), by angle:
- 6.364 Å, I = 17
- 3.182 Å, I = 100
- 2.250 Å, I = 37
- 1.837 Å, I = 41
- 1.591 Å, I = 23
- 1.423 Å, I = 18

Structure:
```
data_Cs3Cd4F12
_chemical_formula_sum 'Cs6 Cd8 F24'
_cell_length_a 9.0006
_cell_length_b 9.0006
_cell_length_c 9.0006
_cell_angle_alpha 90.00
_cell_angle_beta 90.00
_cell_angle_gamma 90.00
_symmetry_space_group_name_H-M 'I m -3 m'
_symmetry_Int_Tables_number 229
_symmetry_space_group_name_Hall '-I 4 2 3'
loop_
_atom_site_label
_atom_site_type_symbol
_atom_site_fract_x
_atom_site_fract_y
_atom_site_fract_z
Cs1 Cs 0.0000 0.0000 0.5000
Cd1 Cd 0.2500 0.2500 0.2500
F1 F 0.0000 0.2564 0.2564
```